# 1
Structure and theoretical powder XRD pattern of Cu5Bi2B4O14 (a cell relaxed with PBE; Cu Kα X-rays).
Intensities are scaled so that the largest is 100.

Most intense lines, 2θ from 5° to 70°, in order of falling intensity:
- hkl 0 1 1, 11.1 deg, intensity 100
- hkl 1 2 1, 29.5 deg, intensity 73
- hkl 0 1 -1, 16.4 deg, intensity 73
- hkl 0 2 4, 36.1 deg, intensity 68
- hkl 0 1 2, 17.8 deg, intensity 51
- hkl 0 2 -2, 33.2 deg, intensity 44

Atomic structure:
a b c (Å): 3.621 9.263 10.239
angles (deg): 67.35 81.69 82.53
Space group P1 (No. 1)
Unique sites:
Cu (0.000, 0.000, 0.000) [1 per cell]
Cu (0.011, 0.499, 0.502) [1 per cell]
Cu (0.058, 0.179, 0.655) [1 per cell]
Cu (0.507, 0.999, 0.500) [1 per cell]
Cu (0.939, 0.819, 0.349) [1 per cell]
Bi (0.483, 0.645, 0.173) [1 per cell]
Bi (0.519, 0.356, 0.828) [1 per cell]
B (0.151, 0.297, 0.331) [1 per cell]
B (0.502, 0.138, 0.191) [1 per cell]
B (0.510, 0.864, 0.810) [1 per cell]
B (0.867, 0.704, 0.673) [1 per cell]
O (0.022, 0.449, 0.319) [1 per cell]
O (0.068, 0.199, 0.836) [1 per cell]
O (0.134, 0.175, 0.460) [1 per cell]
O (0.306, 0.274, 0.205) [1 per cell]
O (0.346, 0.658, 0.384) [1 per cell]
O (0.397, 0.987, 0.692) [1 per cell]
O (0.421, 0.868, 0.943) [1 per cell]
O (0.583, 0.133, 0.058) [1 per cell]
O (0.612, 0.014, 0.308) [1 per cell]
O (0.659, 0.345, 0.617) [1 per cell]
O (0.719, 0.730, 0.797) [1 per cell]
O (0.882, 0.824, 0.543) [1 per cell]
O (0.938, 0.803, 0.166) [1 per cell]
O (0.993, 0.552, 0.685) [1 per cell]

# 2
Structure and theoretical powder XRD pattern of BiBOF4 (a cell relaxed with PBE; Cu Kα X-rays).
Intensities are scaled so that the largest is 100.

Most intense lines, 2θ from 5° to 70°, in order of falling intensity:
- hkl 2 1 1, 28.0 deg, intensity 100
- hkl 1 0 0, 9.3 deg, intensity 99
- hkl 1 1 1, 22.7 deg, intensity 39
- hkl 3 1 1, 35.2 deg, intensity 27
- hkl 0 2 2, 41.9 deg, intensity 22
- hkl 2 3 1, 51.4 deg, intensity 21

Atomic structure:
a b c (Å): 9.470 6.055 6.139
angles (deg): 90.00 90.00 90.00
Space group Aem2 (No. 39)
Unique sites:
Bi (0.122, 0.250, 0.000) [4 per cell]
B (0.336, 0.250, 0.482) [4 per cell]
O (0.000, 0.000, 0.315) [4 per cell]
F (0.207, 0.250, 0.628) [4 per cell]
F (0.314, 0.060, 0.353) [8 per cell]
F (0.458, 0.250, 0.594) [4 per cell]

# 3
Structure and theoretical powder XRD pattern of BiB4H3O9 (a cell relaxed with PBE; Cu Kα X-rays).
Intensities are scaled so that the largest is 100.

Most intense lines, 2θ from 5° to 70°, in order of falling intensity:
- hkl 0 0 1, 9.0 deg, intensity 100
- hkl 1 1 1, 27.9 deg, intensity 36
- hkl 0 0 2, 18.0 deg, intensity 18
- hkl 0 2 -2, 22.7 deg, intensity 17
- hkl 1 0 -2, 25.6 deg, intensity 15
- hkl 1 0 0, 20.5 deg, intensity 15

Atomic structure:
a b c (Å): 4.359 8.707 10.692
angles (deg): 111.70 96.81 90.37
Space group P1 (No. 1)
Unique sites:
Bi (0.000, 0.000, 0.000) [1 per cell]
Bi (0.256, 0.628, 0.070) [1 per cell]
B (0.121, 0.413, 0.274) [1 per cell]
B (0.134, 0.217, 0.796) [1 per cell]
B (0.248, 0.104, 0.555) [1 per cell]
B (0.411, 0.958, 0.702) [1 per cell]
B (0.588, 0.260, 0.170) [1 per cell]
B (0.670, 0.370, 0.900) [1 per cell]
B (0.865, 0.680, 0.373) [1 per cell]
B (0.994, 0.521, 0.514) [1 per cell]
H (0.039, 0.405, 0.645) [1 per cell]
H (0.167, 0.210, 0.419) [1 per cell]
H (0.285, 0.701, 0.832) [1 per cell]
H (0.604, 0.874, 0.427) [1 per cell]
H (0.684, 0.768, 0.651) [1 per cell]
H (0.937, 0.912, 0.233) [1 per cell]
O (0.025, 0.577, 0.275) [1 per cell]
O (0.112, 0.403, 0.409) [1 per cell]
O (0.126, 0.222, 0.659) [1 per cell]
O (0.228, 0.104, 0.426) [1 per cell]
O (0.241, 0.056, 0.798) [1 per cell]
O (0.268, 0.760, 0.928) [1 per cell]
O (0.347, 0.355, 0.893) [1 per cell]
O (0.405, 0.974, 0.576) [1 per cell]
O (0.433, 0.395, 0.237) [1 per cell]
O (0.470, 0.102, 0.093) [1 per cell]
O (0.577, 0.836, 0.728) [1 per cell]
O (0.708, 0.805, 0.350) [1 per cell]
O (0.789, 0.527, 0.977) [1 per cell]
O (0.826, 0.233, 0.836) [1 per cell]
O (0.870, 0.662, 0.498) [1 per cell]
O (0.909, 0.278, 0.172) [1 per cell]
O (0.984, 0.513, 0.638) [1 per cell]
O (0.990, 0.866, 0.141) [1 per cell]